# K2InBr4
Theoretical powder X-ray diffraction pattern, Cu Kα, 1.54184 Å. Input: a PBE-relaxed structure.
Intensities are scaled so that the largest is 100.

Structural model:
```
data_K2InBr4
_cell_length_a 5.6435
_cell_length_b 5.6435
_cell_length_c 17.0094
_cell_angle_alpha 90.00
_cell_angle_beta 90.00
_cell_angle_gamma 90.00
_symmetry_space_group_name_H-M 'I 4/m m m'
_symmetry_Int_Tables_number 139
_symmetry_space_group_name_Hall '-I 4 2'
loop_
_atom_site_label
_atom_site_type_symbol
_atom_site_fract_x
_atom_site_fract_y
_atom_site_fract_z
_atom_site_occupancy
K1 K 0.0000 0.0000 0.1397 1
In1 In 0.0000 0.0000 0.5000 1
Br1 Br 0.0000 0.0000 0.3288 1
Br2 Br 0.0000 0.5000 0.0000 1
```

Top 10 peaks for 2θ = 10–90°, low angle first:
- 2θ = 10.40°, I 75.3, (0 0 2)
- 2θ = 16.55°, I 69.9, (1 0 1)
- 2θ = 22.28°, I 36.9, (1 1 0)
- 2θ = 24.64°, I 32.9, (1 1 2)
- 2θ = 30.70°, I 75.0, (1 0 5)
- 2θ = 31.56°, I 43.1, (0 0 6)
- 2θ = 31.71°, I 100.0, (2 0 0)
- 2θ = 44.71°, I 32.1, (2 1 5)
- 2θ = 45.35°, I 60.9, (2 0 6)
- 2θ = 45.46°, I 35.4, (2 2 0)

=====

# Ce3Pb2C
Theoretical powder X-ray diffraction pattern, Cu Kα, 1.54184 Å. Input: a PBE-relaxed structure.
Intensities are scaled so that the largest is 100.

Structural model:
```
data_Ce3Pb2C
_cell_length_a 11.0466
_cell_length_b 9.1169
_cell_length_c 6.6028
_cell_angle_alpha 90.00
_cell_angle_beta 90.00
_cell_angle_gamma 90.00
_symmetry_space_group_name_H-M 'C m c m'
_symmetry_Int_Tables_number 63
_symmetry_space_group_name_Hall '-C 2c 2'
loop_
_atom_site_label
_atom_site_type_symbol
_atom_site_fract_x
_atom_site_fract_y
_atom_site_fract_z
_atom_site_occupancy
Ce1 Ce 0.0000 0.1600 0.2500 1
Ce2 Ce 0.1523 0.5000 0.0000 1
Pb1 Pb 0.1395 0.1816 0.7500 1
C1 C 0.0000 0.4133 0.2500 1
```

Top 10 peaks for 2θ = 10–90°, low angle first:
- 2θ = 29.45°, I 100.0, (3 1 1)
- 2θ = 29.90°, I 53.8, (1 1 2)
- 2θ = 30.51°, I 68.9, (1 3 0)
- 2θ = 33.51°, I 68.0, (0 2 2)
- 2θ = 37.91°, I 31.6, (3 1 2)
- 2θ = 38.41°, I 27.9, (3 3 0)
- 2θ = 40.56°, I 35.4, (4 2 1)
- 2θ = 47.32°, I 23.2, (4 2 2)
- 2θ = 49.26°, I 24.6, (3 1 3)
- 2θ = 53.98°, I 22.9, (4 4 1)